[1]
The following is a calculated powder X-ray diffraction pattern of LiHoSe2. It was derived from DFT lattice parameters and positions (PBE), using Cu Ka.
Peak positions follow from Bragg's law for the DFT cell and can differ from measured ones.

Top 10 peaks for 15 to 90 degrees two-theta, by angle:
2θ 15.97, I = 57; 2θ 21.84, I = 55; 2θ 31.08, I = 100; 2θ 32.27, I = 45; 2θ 35.13, I = 33; 2θ 39.31, I = 25; 2θ 44.53, I = 37; 2θ 45.41, I = 70; 2θ 56.05, I = 37; 2θ 82.65, I = 25

Atomic structure:
```
data_LiHoSe2
_chemical_formula_sum 'Li1 Ho1 Se2'
_cell_length_a 4.070
_cell_length_b 4.070
_cell_length_c 5.548
_cell_angle_alpha 90.00
_cell_angle_beta 90.00
_cell_angle_gamma 90.00
_symmetry_space_group_name_H-M 'P 4/m m m'
_symmetry_Int_Tables_number 123
_symmetry_space_group_name_Hall '-P 4 2'
loop_
_atom_site_label
_atom_site_type_symbol
_atom_site_fract_x
_atom_site_fract_y
_atom_site_fract_z
Li1 Li 0.000 0.000 0.000
Ho1 Ho 0.500 0.500 0.500
Se1 Se 0.000 0.000 0.500
Se2 Se 0.500 0.500 0.000
```

[2]
The following is a calculated powder X-ray diffraction pattern of TbMnSi. It was derived from DFT lattice parameters and positions (PBE), using Cu Ka.
Peak positions follow from Bragg's law for the DFT cell and can differ from measured ones.

Top 10 peaks for 15 to 90 degrees two-theta, by angle:
2θ 25.84, I = 100; 2θ 32.20, I = 40; 2θ 33.81, I = 92; 2θ 34.60, I = 58; 2θ 37.57, I = 28; 2θ 41.06, I = 65; 2θ 46.19, I = 50; 2θ 53.68, I = 28; 2θ 56.33, I = 28; 2θ 58.45, I = 38

Atomic structure:
```
data_TbMnSi
_chemical_formula_sum 'Tb2 Mn2 Si2'
_cell_length_a 3.931
_cell_length_b 3.931
_cell_length_c 7.182
_cell_angle_alpha 90.00
_cell_angle_beta 90.00
_cell_angle_gamma 90.00
_symmetry_space_group_name_H-M 'P 4/n m m'
_symmetry_Int_Tables_number 129
loop_
_symmetry_equiv_pos_as_xyz
'x,y,z'
'-x,-y,-z'
'-y+1/2,x,z'
'y+1/2,-x,-z'
'-x+1/2,-y+1/2,z'
'x+1/2,y+1/2,-z'
'y,-x+1/2,z'
'-y,x+1/2,-z'
'x+1/2,-y,-z'
'-x+1/2,y,z'
'-y,-x,-z'
'y,x,z'
'-x,y+1/2,-z'
'x,-y+1/2,z'
'y+1/2,x+1/2,-z'
'-y+1/2,-x+1/2,z'
loop_
_atom_site_label
_atom_site_type_symbol
_atom_site_fract_x
_atom_site_fract_y
_atom_site_fract_z
Tb1 Tb 0.250 0.250 0.171
Mn1 Mn 0.250 0.750 0.500
Si1 Si 0.250 0.250 0.699
```

[3]
The following is a calculated powder X-ray diffraction pattern of RbC2N3. It was derived from DFT lattice parameters and positions (PBE), using Cu Ka.
Peak positions follow from Bragg's law for the DFT cell and can differ from measured ones.

Top 10 peaks for 15 to 90 degrees two-theta, by angle:
2θ 22.59, I = 17; 2θ 23.11, I = 25; 2θ 23.59, I = 21; 2θ 25.45, I = 52; 2θ 26.77, I = 22; 2θ 27.03, I = 17; 2θ 27.34, I = 100; 2θ 27.47, I = 19; 2θ 32.02, I = 19; 2θ 41.36, I = 18

Atomic structure:
```
data_RbC2N3
_chemical_formula_sum 'Rb8 C16 N24'
_cell_length_a 8.641
_cell_length_b 8.653
_cell_length_c 13.974
_cell_angle_alpha 101.01
_cell_angle_beta 103.49
_cell_angle_gamma 108.14
_symmetry_space_group_name_H-M 'P 1'
_symmetry_Int_Tables_number 1
_symmetry_space_group_name_Hall 'P 1'
loop_
_atom_site_label
_atom_site_type_symbol
_atom_site_fract_x
_atom_site_fract_y
_atom_site_fract_z
Rb1 Rb 0.000 0.000 0.000
Rb2 Rb 0.038 0.134 0.543
Rb3 Rb 0.142 0.645 0.504
Rb4 Rb 0.370 0.968 0.331
Rb5 Rb 0.462 0.478 0.285
Rb6 Rb 0.507 0.606 0.830
Rb7 Rb 0.555 0.143 0.046
Rb8 Rb 0.950 0.467 0.787
C1 C 0.045 0.196 0.293
C2 C 0.045 0.526 0.190
C3 C 0.209 0.148 0.807
C4 C 0.231 0.888 0.793
C5 C 0.265 0.719 0.038
C6 C 0.291 0.461 0.022
C7 C 0.454 0.408 0.538
C8 C 0.460 0.084 0.643
C9 C 0.647 0.110 0.798
C10 C 0.671 0.813 0.533
C11 C 0.696 0.819 0.142
C12 C 0.700 0.372 0.526
C13 C 0.798 0.235 0.306
C14 C 0.803 0.786 0.689
C15 C 0.824 0.789 0.297
C16 C 0.858 0.498 0.035
N1 N 0.138 0.155 0.253
N2 N 0.164 0.591 0.266
N3 N 0.183 0.259 0.776
N4 N 0.228 0.755 0.750
N5 N 0.239 0.032 0.847
N6 N 0.261 0.577 0.982
N7 N 0.265 0.850 0.083
N8 N 0.318 0.350 0.052
N9 N 0.341 0.022 0.566
N10 N 0.363 0.449 0.581
N11 N 0.544 0.361 0.484
N12 N 0.561 0.798 0.459
N13 N 0.594 0.168 0.723
N14 N 0.657 0.232 0.276
N15 N 0.688 0.866 0.067
N16 N 0.689 0.762 0.221
N17 N 0.710 0.075 0.871
N18 N 0.795 0.534 0.962
N19 N 0.806 0.845 0.610
N20 N 0.818 0.741 0.764
N21 N 0.842 0.377 0.557
N22 N 0.911 0.440 0.110
N23 N 0.934 0.801 0.370
N24 N 0.954 0.245 0.346
```

[4]
The following is a calculated powder X-ray diffraction pattern of MgSi2. It was derived from DFT lattice parameters and positions (PBE), using Cu Ka.
Peak positions follow from Bragg's law for the DFT cell and can differ from measured ones.

Top 10 peaks for 15 to 90 degrees two-theta, by angle:
2θ 34.82, I = 99; 2θ 37.49, I = 100; 2θ 41.16, I = 55; 2θ 43.57, I = 43; 2θ 45.05, I = 45; 2θ 46.29, I = 19; 2θ 50.28, I = 25; 2θ 64.47, I = 26; 2θ 68.81, I = 21; 2θ 82.08, I = 24

Atomic structure:
```
data_MgSi2
_chemical_formula_sum 'Mg4 Si8'
_cell_length_a 4.025
_cell_length_b 6.462
_cell_length_c 7.846
_cell_angle_alpha 90.00
_cell_angle_beta 90.00
_cell_angle_gamma 90.00
_symmetry_space_group_name_H-M 'I m m a'
_symmetry_Int_Tables_number 74
_symmetry_space_group_name_Hall '-I 2b 2'
loop_
_atom_site_label
_atom_site_type_symbol
_atom_site_fract_x
_atom_site_fract_y
_atom_site_fract_z
Mg1 Mg 0.000 0.250 0.079
Si1 Si 0.000 0.061 0.650
```